Entry 1:
Simulated X-ray powder pattern
Compound: Sn3Te3Ir2
Radiation: λ = 1.5418 Å (Cu Kα)
Structure: a cell relaxed with GGA-PBE
Lines closer than 0.1° are merged.

Structure:
```
Sn3Te3Ir2
1.0
6.6963 3.8661 5.4771
-6.6963 3.8661 5.4771
0.0000 -7.7322 5.4771
Sn Te Ir
12 12 8
Direct
0.9997 0.3257 0.8394
0.0003 0.6743 0.1606
0.1606 0.0003 0.6743
0.1748 0.3400 0.5014
0.3257 0.8394 0.9997
0.3400 0.5014 0.1748
0.4986 0.8252 0.6600
0.5014 0.1748 0.3400
0.6600 0.4986 0.8252
0.6743 0.1606 0.0003
0.8252 0.6600 0.4986
0.8394 0.9997 0.3257
0.0019 0.3454 0.1501
0.1501 0.0019 0.3454
0.1547 0.6506 0.5001
0.3454 0.1501 0.0019
0.3494 0.4999 0.8453
0.5001 0.1547 0.6506
0.4999 0.8453 0.3494
0.6506 0.5001 0.1547
0.6546 0.8499 0.9981
0.8453 0.3494 0.4999
0.8499 0.9981 0.6546
0.9981 0.6546 0.8499
0.2476 0.7481 0.7483
0.2489 0.2489 0.2489
0.2519 0.2517 0.7524
0.2517 0.7524 0.2519
0.7483 0.2476 0.7481
0.7481 0.7483 0.2476
0.7511 0.7511 0.7511
0.7524 0.2519 0.2517
```

Peak list (10 most intense, 2θ = 10–80°, by angle)
2theta	I (rel.)
18.7	58
26.6	20
29.8	100
35.4	37
42.7	82
47.0	57
49.0	25
61.9	14
65.3	20
67.0	17



Entry 2:
Simulated X-ray powder pattern
Compound: KNa3Mg4F12
Radiation: λ = 1.5418 Å (Cu Kα)
Structure: a cell relaxed with GGA-PBE
Lines closer than 0.1° are merged.

Structure:
```
KNa3Mg4F12
1.0
5.5463 0.0000 0.0000
0.0000 7.8951 0.0000
-0.0204 0.0000 5.6111
K Na Mg F
1 3 4 12
Direct
0.0000 0.0000 0.0000
0.0059 0.5000 0.0568
0.5054 0.5000 0.5483
0.5116 0.0000 0.4851
0.0038 0.2544 0.5222
0.0038 0.7456 0.5222
0.5045 0.2552 0.0184
0.5045 0.7448 0.0184
0.0800 0.0000 0.5196
0.2118 0.2904 0.8113
0.2118 0.7096 0.8113
0.2910 0.2921 0.3068
0.2910 0.7079 0.3068
0.4632 0.0000 0.0488
0.5821 0.5000 0.9869
0.7078 0.2117 0.7244
0.7078 0.7883 0.7244
0.7858 0.2314 0.2396
0.7858 0.7686 0.2396
0.9305 0.5000 0.5082
```

Peak list (10 most intense, 2θ = 10–80°, by angle)
2theta	I (rel.)
22.5	23
31.9	22
32.1	74
37.8	23
39.4	46
39.7	37
46.0	100
46.1	49
57.0	23
57.3	27



Entry 3:
Simulated X-ray powder pattern
Compound: CoAsRh
Radiation: λ = 1.5418 Å (Cu Kα)
Structure: a cell relaxed with GGA-PBE
Lines closer than 0.1° are merged.

Structure:
```
CoAsRh
1.0
5.9599 0.0000 0.0000
0.0000 3.7996 0.0000
0.0000 0.0000 7.0210
Co As Rh
4 4 4
Direct
0.1430 0.2500 0.0624
0.3570 0.7500 0.5624
0.6430 0.2500 0.4376
0.8570 0.7500 0.9376
0.2375 0.7500 0.8753
0.2625 0.2500 0.3753
0.7375 0.7500 0.6247
0.7625 0.2500 0.1247
0.0345 0.2500 0.6705
0.4655 0.7500 0.1705
0.5345 0.2500 0.8295
0.9655 0.7500 0.3295
```

Peak list (10 most intense, 2θ = 10–80°, by angle)
2theta	I (rel.)
38.0	84
38.4	24
40.6	100
41.5	29
45.5	25
47.6	17
47.9	45
48.1	27
53.0	24
74.2	17



Entry 4:
Simulated X-ray powder pattern
Compound: Sr2Mg3Al
Radiation: λ = 1.5418 Å (Cu Kα)
Structure: a cell relaxed with GGA-PBE
Lines closer than 0.1° are merged.

Structure:
```
Sr2Mg3Al
1.0
6.2368 0.0000 0.0000
-3.1184 5.4012 0.0000
0.0000 0.0000 20.8146
Sr Mg Al
8 12 4
Direct
0.0000 0.0000 0.0966
0.0000 0.0000 0.4034
0.0000 0.0000 0.5966
0.0000 0.0000 0.9034
0.3333 0.6667 0.1551
0.3333 0.6667 0.3449
0.6667 0.3333 0.6551
0.6667 0.3333 0.8449
0.0000 0.5000 0.0000
0.0000 0.5000 0.5000
0.1677 0.3355 0.7500
0.1677 0.8323 0.7500
0.3355 0.1677 0.2500
0.5000 0.0000 0.0000
0.5000 0.0000 0.5000
0.5000 0.5000 0.0000
0.5000 0.5000 0.5000
0.6645 0.8323 0.7500
0.8323 0.1677 0.2500
0.8323 0.6645 0.2500
0.3333 0.6667 0.6309
0.3333 0.6667 0.8691
0.6667 0.3333 0.1309
0.6667 0.3333 0.3691
```

Peak list (10 most intense, 2θ = 10–80°, by angle)
2theta	I (rel.)
17.0	28
27.0	20
28.6	60
30.6	62
33.5	100
34.3	26
52.0	30
53.9	21
55.8	21
59.3	18



Entry 5:
Simulated X-ray powder pattern
Compound: U3H2O10
Radiation: λ = 1.5418 Å (Cu Kα)
Structure: a cell relaxed with GGA-PBE
Lines closer than 0.1° are merged.

Structure:
```
U3H2O10
1.0
5.6477 0.0000 0.0000
1.6908 5.6373 0.0000
2.1557 1.3743 6.6583
U H O
3 2 10
Direct
0.0000 0.0000 0.0000
0.4611 0.5591 0.2586
0.5389 0.4409 0.7414
0.1189 0.2200 0.4163
0.8811 0.7800 0.5837
0.0954 0.9244 0.2462
0.2030 0.3546 0.3479
0.3003 0.2256 0.8584
0.3080 0.6832 0.9581
0.3338 0.6762 0.5444
0.6662 0.3238 0.4556
0.6920 0.3168 0.0419
0.6997 0.7744 0.1416
0.7970 0.6454 0.6521
0.9046 0.0756 0.7538
```

Peak list (10 most intense, 2θ = 10–80°, by angle)
2theta	I (rel.)
13.3	21
18.7	46
20.6	100
25.9	44
28.0	44
28.4	44
34.2	34
35.3	27
41.9	22
51.3	19



Entry 6:
Simulated X-ray powder pattern
Compound: Ba3GaSe4Cl
Radiation: λ = 1.5418 Å (Cu Kα)
Structure: a cell relaxed with GGA-PBE
Lines closer than 0.1° are merged.

Structure:
```
Ba3GaSe4Cl
1.0
12.9467 0.0000 0.0000
0.0000 10.0076 0.0000
0.0000 0.0000 8.8925
Ba Ga Se Cl
12 4 16 4
Direct
0.0091 0.2500 0.0826
0.1699 0.0197 0.5772
0.1699 0.4803 0.5772
0.3301 0.5197 0.0772
0.3301 0.9803 0.0772
0.4909 0.7500 0.5826
0.5091 0.2500 0.4174
0.6699 0.0197 0.9228
0.6699 0.4803 0.9228
0.8301 0.5197 0.4228
0.8301 0.9803 0.4228
0.9909 0.7500 0.9174
0.1093 0.7500 0.3132
0.3907 0.2500 0.8132
0.6093 0.7500 0.1868
0.8907 0.2500 0.6868
0.0060 0.7500 0.5410
0.0759 0.5439 0.1868
0.0759 0.9561 0.1868
0.2061 0.2500 0.8609
0.2939 0.7500 0.3609
0.4241 0.0439 0.6868
0.4241 0.4561 0.6868
0.4940 0.2500 0.0410
0.5060 0.7500 0.9590
0.5759 0.5439 0.3132
0.5759 0.9561 0.3132
0.7061 0.2500 0.6391
0.7939 0.7500 0.1391
0.9241 0.0439 0.8132
0.9241 0.4561 0.8132
0.9940 0.2500 0.4590
0.2288 0.7500 0.8387
0.2712 0.2500 0.3387
0.7288 0.7500 0.6613
0.7712 0.2500 0.1613
```

Peak list (10 most intense, 2θ = 10–80°, by angle)
2theta	I (rel.)
22.9	44
27.7	100
29.1	35
29.4	57
30.2	52
33.0	31
33.2	22
34.5	32
35.9	51
40.5	26



Entry 7:
Simulated X-ray powder pattern
Compound: CaAl2SiO6
Radiation: λ = 1.5418 Å (Cu Kα)
Structure: a cell relaxed with GGA-PBE
Lines closer than 0.1° are merged.

Structure:
```
CaAl2SiO6
1.0
4.8758 -4.3594 0.0000
4.8758 4.3594 0.0000
-1.4703 0.0000 5.1177
Ca Al Si O
2 4 2 12
Direct
0.1866 0.8134 0.5000
0.8134 0.1866 0.0000
0.4205 0.6011 0.0204
0.6011 0.4205 0.5204
0.7005 0.8970 0.4676
0.8970 0.7005 0.9676
0.1288 0.3206 0.5428
0.3206 0.1288 0.0428
0.1521 0.5994 0.0792
0.1532 0.1760 0.7721
0.1760 0.1532 0.2721
0.3098 0.4890 0.6341
0.3996 0.8857 0.9616
0.4890 0.3098 0.1341
0.5350 0.6819 0.3820
0.5994 0.1521 0.5792
0.6819 0.5350 0.8820
0.8493 0.8997 0.2315
0.8857 0.3996 0.4616
0.8997 0.8493 0.7315
```

Peak list (10 most intense, 2θ = 10–80°, by angle)
2theta	I (rel.)
30.1	100
30.4	29
30.9	40
35.1	42
35.5	22
35.8	51
39.1	19
45.2	22
57.0	18
67.2	18



Entry 8:
Simulated X-ray powder pattern
Compound: LaPrMg2
Radiation: λ = 1.5418 Å (Cu Kα)
Structure: a cell relaxed with GGA-PBE
Lines closer than 0.1° are merged.

Structure:
```
LaPrMg2
1.0
0.0000 3.9349 3.9349
3.9349 0.0000 3.9349
3.9349 3.9349 0.0000
La Pr Mg
1 1 2
Direct
0.0000 0.0000 0.0000
0.5000 0.5000 0.5000
0.2500 0.2500 0.2500
0.7500 0.7500 0.7500
```

Peak list (9 most intense, 2θ = 10–80°, by angle)
2theta	I (rel.)
22.6	57
32.2	100
39.7	18
46.1	18
52.0	25
57.4	38
67.3	12
72.0	12
76.6	16



Entry 9:
Simulated X-ray powder pattern
Compound: TbMn6Sn4Ge2
Radiation: λ = 1.5418 Å (Cu Kα)
Structure: a cell relaxed with GGA-PBE
Lines closer than 0.1° are merged.

Structure:
```
TbMn6Sn4Ge2
1.0
5.3450 0.0000 0.0000
-2.6725 4.6289 0.0000
0.0000 0.0000 8.6867
Tb Mn Sn Ge
1 6 4 2
Direct
0.0000 0.0000 0.0000
0.0000 0.5000 0.2328
0.0000 0.5000 0.7672
0.5000 0.0000 0.2328
0.5000 0.0000 0.7672
0.5000 0.5000 0.2328
0.5000 0.5000 0.7672
0.0000 0.0000 0.3347
0.0000 0.0000 0.6653
0.3333 0.6667 0.5000
0.6667 0.3333 0.5000
0.3333 0.6667 0.0000
0.6667 0.3333 0.0000
```

Peak list (10 most intense, 2θ = 10–80°, by angle)
2theta	I (rel.)
33.5	100
36.6	79
38.9	42
39.6	80
41.6	21
44.3	46
46.2	33
62.0	35
70.5	31
74.5	34



Entry 10:
Simulated X-ray powder pattern
Compound: NbSi2
Radiation: λ = 1.5418 Å (Cu Kα)
Structure: a cell relaxed with GGA-PBE
Lines closer than 0.1° are merged.

Structure:
```
NbSi2
1.0
4.8180 0.0000 0.0000
-2.4090 4.1725 0.0000
0.0000 0.0000 6.6236
Nb Si
3 6
Direct
0.0000 0.5000 0.3333
0.5000 0.0000 0.0000
0.5000 0.5000 0.6667
0.1592 0.3185 0.0000
0.1592 0.8408 0.6667
0.3185 0.1592 0.3333
0.6815 0.8408 0.3333
0.8408 0.1592 0.6667
0.8408 0.6815 0.0000
```

Peak list (10 most intense, 2θ = 10–80°, by angle)
2theta	I (rel.)
25.2	68
34.6	30
37.3	15
39.8	100
40.9	35
43.4	17
46.6	65
68.8	19
69.0	19
73.9	18



Entry 11:
Simulated X-ray powder pattern
Compound: Li5SbS
Radiation: λ = 1.5418 Å (Cu Kα)
Structure: a cell relaxed with GGA-PBE
Lines closer than 0.1° are merged.

Structure:
```
Li5SbS
1.0
2.4288 -8.3488 0.0000
2.4288 8.3488 0.0000
-0.1826 0.0000 6.1987
Li Sb S
10 2 2
Direct
0.1358 0.8642 0.7500
0.2464 0.3217 0.9106
0.3024 0.6844 0.5052
0.3156 0.6976 0.9948
0.3217 0.2464 0.4106
0.6783 0.7536 0.5894
0.6844 0.3024 0.0052
0.6976 0.3156 0.4948
0.7536 0.6783 0.0894
0.8642 0.1358 0.2500
0.1669 0.8331 0.2500
0.8331 0.1669 0.7500
0.4250 0.5750 0.2500
0.5750 0.4250 0.7500
```

Peak list (10 most intense, 2θ = 10–80°, by angle)
2theta	I (rel.)
10.6	31
17.8	73
23.6	98
24.2	87
24.3	99
25.7	100
28.8	45
37.6	36
38.5	41
45.3	30